# Mo3PbO9
Simulated XRD peak list, CuKα. Input: a cell relaxed with PBE+U.

Cell and atoms:
```
data_Mo3PbO9
_cell_length_a 5.6695
_cell_length_b 7.6578
_cell_length_c 8.3203
_cell_angle_alpha 90.00
_cell_angle_beta 92.70
_cell_angle_gamma 90.00
_space_group_name_H-M_alt 'P 1 21/m 1'
_space_group_IT_number 11
_space_group_name_Hall '-P 2yb'
loop_
_atom_site_label
_atom_site_type_symbol
_atom_site_fract_x
_atom_site_fract_y
_atom_site_fract_z
Mo1 Mo 0.0000 0.0000 0.0000
Mo2 Mo 0.4738 0.0020 0.6959
Pb1 Pb 0.0297 0.2500 0.4436
O1 O 0.0527 0.2500 0.9922
O2 O 0.1907 0.5401 0.7947
O3 O 0.2834 0.5327 0.4760
O4 O 0.3066 0.5330 0.1418
O5 O 0.3956 0.2500 0.6739
O6 O 0.4565 0.2500 0.3134
```

Principal peaks in the range 2θ = 15–90°, sorted by position:
(1 0 -2), 26.0°, d 3.428, rel. 100
(1 0 2), 27.2°, d 3.278, rel. 85
(1 2 0), 28.1°, d 3.172, rel. 74
(1 2 -1), 29.9°, d 2.990, rel. 63
(1 2 1), 30.4°, d 2.938, rel. 95
(2 0 0), 31.6°, d 2.832, rel. 59